Li3FeP2HO8: theoretical X-ray diffraction stick pattern (Cu Kα (weighted mean of Kα1 and Kα2)), based on a DFT-relaxed cell (GGA+U, Alexandria).

Largest 6 diffraction maxima, low angle first, 15° ≤ 2θ ≤ 90°:
(0 1 1), 23.5°, 3.788 Å, rel. 89; (1 0 1), 23.9°, 3.726 Å, rel. 74; (1 1 -1), 25.6°, 3.481 Å, rel. 100; (1 -1 0), 32.0°, 2.801 Å, rel. 44; (1 0 2), 34.6°, 2.595 Å, rel. 49; (1 2 0), 35.5°, 2.527 Å, rel. 40

Structure:
Cell: 5.038 5.095 6.271 Å, 89.02 89.78 67.13°
Space group P-1 (No. 2)
Asymmetric unit:
Li  0.000  0.000  0.000
Li  0.380  0.223  0.743
Fe  0.000  0.000  0.500
P  0.357  0.358  0.253
H  0.000  0.500  0.000
O  0.217  0.297  0.043
O  0.238  0.247  0.446
O  0.274  0.684  0.263
O  0.314  0.813  0.762